1.
For SrCe2Cl7, a GGA-PBE-relaxed structure gives the computed powder diffractogram in this record (Cu Kα (weighted mean of Kα1 and Kα2)).
No peak broadening, texture or thermal motion is included.

Crystal structure
```
SrCe2Cl7
1.0
2.4927 1.4392 13.8376
-2.4927 1.4392 13.8376
0.0000 -2.8784 13.8376
Sr Ce Cl
1 2 7
Cartesian
0.0000 0.0000 0.0000
0.0000 0.0000 17.9719
0.0000 0.0000 23.5408
0.0000 0.0000 3.0133
0.0000 0.0000 9.0964
0.0000 0.0000 14.8743
0.0000 0.0000 20.7563
0.0000 0.0000 26.6384
0.0000 0.0000 32.4163
0.0000 0.0000 38.4994
```

Peak list (10 most intense, 2θ from 10° to 90°, in order of rising 2θ)
2θ/deg  d [Å]  intensity
12.79  6.919  26
19.24  4.613  43
20.68  4.294  31
21.02  4.227  78
23.22  3.831  42
36.03  2.493  100
36.77  2.444  86
41.16  2.193  36
52.43  1.745  29
65.26  1.430  29


2.
For PaGaFeSi, a GGA-PBE-relaxed structure gives the computed powder diffractogram in this record (Cu Kα (weighted mean of Kα1 and Kα2)).
No peak broadening, texture or thermal motion is included.

Crystal structure
```
PaGaFeSi
1.0
3.1951 -2.0521 0.0000
3.1951 2.0521 0.0000
-2.5462 0.0000 5.8064
Pa Ga Fe Si
1 1 1 1
Cartesian
0.0000 0.0000 0.0000
1.6858 0.0000 3.6450
1.7352 0.0000 1.2638
4.0229 0.0000 2.1708
```

Peak list (10 most intense, 2θ from 10° to 90°, in order of rising 2θ)
2θ/deg  d [Å]  intensity
15.26  5.806  61
27.43  3.252  100
30.55  2.926  30
33.64  2.664  19
33.76  2.655  39
35.91  2.501  54
44.13  2.052  24
45.77  1.982  20
46.95  1.935  18
48.23  1.887  33


3.
For BaNpO4, a GGA-PBE-relaxed structure gives the computed powder diffractogram in this record (Cu Kα (weighted mean of Kα1 and Kα2)).
No peak broadening, texture or thermal motion is included.

Crystal structure
```
BaNpO4
1.0
5.8354 0.0000 0.0000
0.0000 8.1853 0.0000
0.0000 0.0000 8.2463
Ba Np O
4 4 16
Cartesian
0.1138 1.5991 2.0616
0.1138 2.4935 6.1847
5.7215 5.6918 2.0616
5.7215 6.5862 6.1847
2.9177 0.0000 0.0000
2.9177 0.0000 4.1232
2.9177 4.0927 0.0000
2.9177 4.0927 4.1232
1.1969 4.6965 4.6805
1.1969 4.6965 7.6889
1.1969 7.5815 0.5574
1.1969 7.5815 3.5658
2.0848 2.0463 0.0000
2.0848 2.0463 4.1232
2.2437 4.3028 2.0616
2.2437 7.9752 6.1847
3.5917 0.2102 2.0616
3.5917 3.8825 6.1847
3.7505 6.1390 0.0000
3.7505 6.1390 4.1232
4.6384 0.6038 4.6805
4.6384 0.6038 7.6889
4.6384 3.4888 0.5574
4.6384 3.4888 3.5658
```

Peak list (10 most intense, 2θ from 10° to 90°, in order of rising 2θ)
2θ/deg  d [Å]  intensity
15.18  5.835  18
26.47  3.367  100
26.60  3.351  85
30.64  2.918  30
30.78  2.905  54
43.97  2.059  59
52.02  1.758  32
52.09  1.756  29
52.31  1.749  17
70.40  1.337  19